Structure and computed X-ray powder pattern of Pd3SeN (a crystal structure in Alexandria, relaxed with GGA-PBE; Cu Kα (weighted mean of Kα1 and Kα2)).
Intensities are scaled so that the largest is 100.

Structure:
```
5
Lattice="4.2114 0.0000 0.0000 0.0000 4.2114 0.0000 0.0000 0.0000 4.2114" Properties=species:S:1:pos:R:3 pbc="T T T"
Pd 0.0000 0.0000 2.1057
Pd 0.0000 2.1057 0.0000
Pd 2.1057 0.0000 0.0000
Se 2.1057 2.1057 2.1057
N 0.0000 0.0000 0.0000
```

Main lines, most intense first (2θ from 15° to 90°):
- 2.431 Å, 37.0 deg, I 100
- 2.106 Å, 43.0 deg, I 56
- 1.270 Å, 74.8 deg, I 38
- 1.489 Å, 62.4 deg, I 36
- 1.216 Å, 78.7 deg, I 12
- 4.211 Å, 21.1 deg, I 4
- 1.883 Å, 48.3 deg, I 1
- 1.404 Å, 66.6 deg, I 1


Structure and computed X-ray powder pattern of TbZnSn (a crystal structure in Alexandria, relaxed with GGA-PBE; Cu Kα (weighted mean of Kα1 and Kα2)).
Intensities are scaled so that the largest is 100.

Structure:
```
12
Lattice="4.5153 0.0000 0.0000 -2.2576 3.9103 0.0000 0.0000 0.0000 15.9318" Properties=species:S:1:pos:R:3 pbc="T T T"
Tb 0.0000 0.0000 0.0000
Tb 0.0000 0.0000 3.9829
Tb 0.0000 0.0000 7.9659
Tb 0.0000 0.0000 11.9488
Zn 0.0000 2.6069 2.5560
Zn 0.0000 2.6069 5.4099
Zn 2.2576 1.3034 10.5219
Zn 2.2576 1.3034 13.3758
Sn 0.0000 2.6069 9.7759
Sn 0.0000 2.6069 14.1218
Sn 2.2576 1.3034 1.8100
Sn 2.2576 1.3034 6.1559
```

Main lines, most intense first (2θ from 15° to 90°):
- 2.790 Å, 32.1 deg, I 100
- 2.258 Å, 39.9 deg, I 60
- 1.755 Å, 52.1 deg, I 26
- 1.386 Å, 67.6 deg, I 24
- 1.493 Å, 62.2 deg, I 16
- 3.149 Å, 28.3 deg, I 16
- 1.967 Å, 46.1 deg, I 14
- 1.303 Å, 72.5 deg, I 10
- 3.910 Å, 22.7 deg, I 8
- 1.129 Å, 86.1 deg, I 7